# 1
Theoretical XRD peak list
Compound: HoScCO
Radiation: a wavelength of 1.5418 Å
Structure: a structure optimized by DFT (GGA-PBE)

Main lines, sorted by position (2θ from 5° to 70°):
15.41 deg, d 5.748, rel. 100
29.45 deg, d 3.033, rel. 71
30.29 deg, d 2.951, rel. 68
31.12 deg, d 2.874, rel. 51
36.98 deg, d 2.431, rel. 49
37.67 deg, d 2.388, rel. 47
41.21 deg, d 2.190, rel. 20
44.25 deg, d 2.047, rel. 99
49.08 deg, d 1.856, rel. 28
49.63 deg, d 1.837, rel. 23
52.53 deg, d 1.742, rel. 17
64.63 deg, d 1.442, rel. 22

Structure:
```
data_HoScCO
_chemical_formula_sum 'Ho2 Sc2 C2 O2'
_cell_length_a 3.0531
_cell_length_b 3.1443
_cell_length_c 11.4967
_cell_angle_alpha 90.00
_cell_angle_beta 90.00
_cell_angle_gamma 90.00
_symmetry_space_group_name_H-M 'I m m 2'
_symmetry_Int_Tables_number 44
_symmetry_space_group_name_Hall 'I 2 -2'
loop_
_atom_site_label
_atom_site_type_symbol
_atom_site_fract_x
_atom_site_fract_y
_atom_site_fract_z
Ho1 Ho 0.0000 0.0000 0.0000
Sc1 Sc 0.0000 0.5000 0.2575
C1 C 0.0000 0.5000 0.8343
O1 O 0.0000 0.0000 0.5854
```


# 2
Theoretical XRD peak list
Compound: TbHoCO
Radiation: a wavelength of 1.5418 Å
Structure: a structure optimized by DFT (GGA-PBE)

Main lines, sorted by position (2θ from 5° to 70°):
28.37 deg, d 3.146, rel. 62
29.29 deg, d 3.050, rel. 53
29.83 deg, d 2.995, rel. 55
35.54 deg, d 2.526, rel. 36
36.30 deg, d 2.475, rel. 41
42.65 deg, d 2.120, rel. 100
47.06 deg, d 1.931, rel. 22
47.67 deg, d 1.908, rel. 17
61.94 deg, d 1.498, rel. 35
65.14 deg, d 1.432, rel. 12
66.31 deg, d 1.410, rel. 12
68.97 deg, d 1.362, rel. 13

Structure:
```
data_TbHoCO
_chemical_formula_sum 'Tb2 Ho2 C2 O2'
_cell_length_a 3.1535
_cell_length_b 3.2608
_cell_length_c 11.9803
_cell_angle_alpha 90.00
_cell_angle_beta 90.00
_cell_angle_gamma 90.00
_symmetry_space_group_name_H-M 'I m m 2'
_symmetry_Int_Tables_number 44
_symmetry_space_group_name_Hall 'I 2 -2'
loop_
_atom_site_label
_atom_site_type_symbol
_atom_site_fract_x
_atom_site_fract_y
_atom_site_fract_z
Tb1 Tb 0.0000 0.0000 0.0000
Ho1 Ho 0.0000 0.5000 0.2532
C1 C 0.0000 0.5000 0.8452
O1 O 0.0000 0.0000 0.5903
```


# 3
Theoretical XRD peak list
Compound: Ho2TmOsC2
Radiation: a wavelength of 1.5418 Å
Structure: a structure optimized by DFT (GGA-PBE)

Main lines, sorted by position (2θ from 5° to 70°):
29.35 deg, d 3.043, rel. 8
32.34 deg, d 2.768, rel. 25
32.78 deg, d 2.732, rel. 17
33.60 deg, d 2.667, rel. 100
34.72 deg, d 2.584, rel. 7
44.53 deg, d 2.035, rel. 11
46.71 deg, d 1.945, rel. 13
49.76 deg, d 1.832, rel. 11
58.49 deg, d 1.578, rel. 14
59.04 deg, d 1.565, rel. 6
60.59 deg, d 1.528, rel. 10
60.88 deg, d 1.522, rel. 9

Structure:
```
data_Ho2TmOsC2
_chemical_formula_sum 'Ho4 Tm2 Os2 C4'
_cell_length_a 5.5364
_cell_length_b 10.9284
_cell_length_c 3.6648
_cell_angle_alpha 90.00
_cell_angle_beta 90.00
_cell_angle_gamma 90.00
_symmetry_space_group_name_H-M 'P n n m'
_symmetry_Int_Tables_number 58
_symmetry_space_group_name_Hall '-P 2 2n'
loop_
_atom_site_label
_atom_site_type_symbol
_atom_site_fract_x
_atom_site_fract_y
_atom_site_fract_z
Ho1 Ho 0.0513 0.2075 0.0000
Tm1 Tm 0.0000 0.5000 0.5000
Os1 Os 0.0000 0.0000 0.5000
C1 C 0.2232 0.6184 0.0000
```


# 4
Theoretical XRD peak list
Compound: HoPaPC
Radiation: a wavelength of 1.5418 Å
Structure: a structure optimized by DFT (GGA-PBE)

Main lines, sorted by position (2θ from 5° to 70°):
14.19 deg, d 6.240, rel. 9
28.61 deg, d 3.120, rel. 29
28.96 deg, d 3.083, rel. 97
33.47 deg, d 2.678, rel. 100
36.52 deg, d 2.461, rel. 10
47.82 deg, d 1.902, rel. 31
48.28 deg, d 1.885, rel. 38
56.67 deg, d 1.624, rel. 12
57.09 deg, d 1.613, rel. 27
57.29 deg, d 1.608, rel. 15
60.02 deg, d 1.541, rel. 19
67.00 deg, d 1.397, rel. 8

Structure:
```
data_HoPaPC
_chemical_formula_sum 'Ho3 Pa3 P3 C3'
_cell_length_a 3.7699
_cell_length_b 3.7699
_cell_length_c 18.7200
_cell_angle_alpha 90.00
_cell_angle_beta 90.00
_cell_angle_gamma 120.00
_symmetry_space_group_name_H-M 'R 3 m'
_symmetry_Int_Tables_number 160
_symmetry_space_group_name_Hall 'R 3 -2"'
loop_
_atom_site_label
_atom_site_type_symbol
_atom_site_fract_x
_atom_site_fract_y
_atom_site_fract_z
Ho1 Ho 0.0000 0.0000 0.0000
Pa1 Pa 0.0000 0.0000 0.4806
P1 P 0.0000 0.0000 0.2413
C1 C 0.0000 0.0000 0.7507
```


# 5
Theoretical XRD peak list
Compound: Ho2PaC2
Radiation: a wavelength of 1.5418 Å
Structure: a structure optimized by DFT (GGA-PBE)

Main lines, sorted by position (2θ from 5° to 70°):
9.70 deg, d 9.114, rel. 30
28.97 deg, d 3.082, rel. 32
29.40 deg, d 3.038, rel. 41
31.68 deg, d 2.825, rel. 100
33.21 deg, d 2.698, rel. 69
39.22 deg, d 2.297, rel. 42
51.00 deg, d 1.791, rel. 36
52.57 deg, d 1.741, rel. 33
59.96 deg, d 1.543, rel. 35
61.29 deg, d 1.512, rel. 16
62.22 deg, d 1.492, rel. 11
65.36 deg, d 1.428, rel. 13

Structure:
```
data_Ho2PaC2
_chemical_formula_sum 'Ho6 Pa3 C6'
_cell_length_a 3.5815
_cell_length_b 3.5815
_cell_length_c 27.3433
_cell_angle_alpha 90.00
_cell_angle_beta 90.00
_cell_angle_gamma 120.00
_symmetry_space_group_name_H-M 'R -3 m'
_symmetry_Int_Tables_number 166
_symmetry_space_group_name_Hall '-R 3 2"'
loop_
_atom_site_label
_atom_site_type_symbol
_atom_site_fract_x
_atom_site_fract_y
_atom_site_fract_z
Ho1 Ho 0.0000 0.0000 0.2304
Pa1 Pa 0.0000 0.0000 0.0000
C1 C 0.0000 0.0000 0.3867
```


# 6
Theoretical XRD peak list
Compound: HoPaCSe
Radiation: a wavelength of 1.5418 Å
Structure: a structure optimized by DFT (GGA-PBE)

Main lines, sorted by position (2θ from 5° to 70°):
26.44 deg, d 3.371, rel. 17
28.12 deg, d 3.174, rel. 65
29.16 deg, d 3.063, rel. 21
33.03 deg, d 2.712, rel. 80
35.68 deg, d 2.516, rel. 100
40.12 deg, d 2.248, rel. 20
49.10 deg, d 1.855, rel. 48
53.53 deg, d 1.712, rel. 21
56.62 deg, d 1.625, rel. 14
60.45 deg, d 1.531, rel. 15
62.16 deg, d 1.493, rel. 20
65.20 deg, d 1.431, rel. 30

Structure:
```
data_HoPaCSe
_chemical_formula_sum 'Ho3 Pa3 C3 Se3'
_cell_length_a 3.7108
_cell_length_b 3.7108
_cell_length_c 20.2277
_cell_angle_alpha 90.00
_cell_angle_beta 90.00
_cell_angle_gamma 120.00
_symmetry_space_group_name_H-M 'R 3 m'
_symmetry_Int_Tables_number 160
_symmetry_space_group_name_Hall 'R 3 -2"'
loop_
_atom_site_label
_atom_site_type_symbol
_atom_site_fract_x
_atom_site_fract_y
_atom_site_fract_z
Ho1 Ho 0.0000 0.0000 0.0000
Pa1 Pa 0.0000 0.0000 0.7971
C1 C 0.0000 0.0000 0.4062
Se1 Se 0.0000 0.0000 0.2333
```


# 7
Theoretical XRD peak list
Compound: HoPaTe2C
Radiation: a wavelength of 1.5418 Å
Structure: a structure optimized by DFT (GGA-PBE)

Main lines, sorted by position (2θ from 5° to 70°):
11.26 deg, d 7.855, rel. 19
22.64 deg, d 3.928, rel. 18
24.30 deg, d 3.662, rel. 16
27.46 deg, d 3.248, rel. 53
30.54 deg, d 2.927, rel. 100
31.40 deg, d 2.849, rel. 22
35.88 deg, d 2.503, rel. 64
38.35 deg, d 2.347, rel. 22
43.73 deg, d 2.070, rel. 40
52.42 deg, d 1.746, rel. 21
57.80 deg, d 1.595, rel. 33
63.57 deg, d 1.464, rel. 13

Structure:
```
data_HoPaTe2C
_chemical_formula_sum 'Ho2 Pa2 Te4 C2'
_cell_length_a 4.1398
_cell_length_b 4.1398
_cell_length_c 15.7101
_cell_angle_alpha 90.00
_cell_angle_beta 90.00
_cell_angle_gamma 90.00
_symmetry_space_group_name_H-M 'P 4/n m m'
_symmetry_Int_Tables_number 129
loop_
_symmetry_equiv_pos_as_xyz
'x,y,z'
'-x,-y,-z'
'-y+1/2,x,z'
'y+1/2,-x,-z'
'-x+1/2,-y+1/2,z'
'x+1/2,y+1/2,-z'
'y,-x+1/2,z'
'-y,x+1/2,-z'
'x+1/2,-y,-z'
'-x+1/2,y,z'
'-y,-x,-z'
'y,x,z'
'-x,y+1/2,-z'
'x,-y+1/2,z'
'y+1/2,x+1/2,-z'
'-y+1/2,-x+1/2,z'
loop_
_atom_site_label
_atom_site_type_symbol
_atom_site_fract_x
_atom_site_fract_y
_atom_site_fract_z
Ho1 Ho 0.2500 0.2500 0.1313
Pa1 Pa 0.2500 0.2500 0.5694
Te1 Te 0.2500 0.2500 0.3155
Te2 Te 0.2500 0.2500 0.9161
C1 C 0.2500 0.7500 0.5000
```


# 8
Theoretical XRD peak list
Compound: Ho8PbC4
Radiation: a wavelength of 1.5418 Å
Structure: a structure optimized by DFT (GGA-PBE)

Main lines, sorted by position (2θ from 5° to 70°):
29.06 deg, d 3.073, rel. 33
31.00 deg, d 2.885, rel. 70
32.14 deg, d 2.785, rel. 100
32.72 deg, d 2.737, rel. 42
33.53 deg, d 2.673, rel. 95
34.92 deg, d 2.569, rel. 40
45.83 deg, d 1.980, rel. 23
50.39 deg, d 1.811, rel. 21
52.39 deg, d 1.746, rel. 37
57.67 deg, d 1.599, rel. 20
60.34 deg, d 1.534, rel. 22
62.66 deg, d 1.483, rel. 20

Structure:
```
data_Ho8PbC4
_chemical_formula_sum 'Ho16 Pb2 C8'
_cell_length_a 17.3869
_cell_length_b 3.6222
_cell_length_c 11.8863
_cell_angle_alpha 90.00
_cell_angle_beta 131.29
_cell_angle_gamma 90.00
_symmetry_space_group_name_H-M 'C 1 2/m 1'
_symmetry_Int_Tables_number 12
_symmetry_space_group_name_Hall '-C 2y'
loop_
_atom_site_label
_atom_site_type_symbol
_atom_site_fract_x
_atom_site_fract_y
_atom_site_fract_z
Ho1 Ho 0.0416 0.0000 0.2353
Ho2 Ho 0.1326 0.5000 0.0904
Ho3 Ho 0.1639 0.5000 0.8404
Ho4 Ho 0.2033 0.5000 0.5659
Pb1 Pb 0.0000 0.0000 0.5000
C1 C 0.1489 0.0000 0.9631
C2 C 0.1671 0.5000 0.3295
```